Starting from a DFT-relaxed cell (PBE+U, Alexandria), the XRD peak list of Tm2CrO5 was simulated for CuKα.
No peak broadening, texture or thermal motion is included.

```
Tm2CrO5
1.0
9.307 0.000 0.000
0.000 6.893 0.000
-0.885 0.000 6.666
Tm Cr O
8 4 20
direct
0.034 0.118 0.229 Tm
0.034 0.382 0.729 Tm
0.345 0.146 0.974 Tm
0.345 0.354 0.474 Tm
0.655 0.646 0.526 Tm
0.655 0.854 0.026 Tm
0.966 0.618 0.271 Tm
0.966 0.882 0.771 Tm
0.301 0.608 0.979 Cr
0.301 0.892 0.479 Cr
0.699 0.108 0.521 Cr
0.699 0.392 0.021 Cr
0.104 0.119 0.913 O
0.104 0.381 0.413 O
0.104 0.643 0.959 O
0.104 0.857 0.459 O
0.278 0.077 0.275 O
0.278 0.423 0.775 O
0.362 0.075 0.655 O
0.362 0.425 0.155 O
0.407 0.678 0.488 O
0.407 0.822 0.988 O
0.593 0.178 0.012 O
0.593 0.322 0.512 O
0.638 0.575 0.845 O
0.638 0.925 0.345 O
0.722 0.577 0.225 O
0.722 0.923 0.725 O
0.896 0.143 0.541 O
0.896 0.357 0.041 O
0.896 0.619 0.587 O
0.896 0.881 0.087 O
```

Main lines, in order of rising 2θ (2θ = 5–70°):
2θ 16.05, d = 5.522 Å, rel. 42, (1 1 0); 2θ 27.23, d = 3.275 Å, rel. 53, (1 0 -2); 2θ 29.04, d = 3.075 Å, rel. 59, (3 0 0); 2θ 31.34, d = 2.855 Å, rel. 100, (1 2 1); 2θ 34.16, d = 2.625 Å, rel. 45, (2 2 -1); 2θ 35.24, d = 2.547 Å, rel. 19, (2 0 2); 2θ 48.72, d = 1.869 Å, rel. 36, (0 2 3); 2θ 51.00, d = 1.791 Å, rel. 28, (4 2 1)